1.
This entry pairs a crystal structure of Pm5Sm2Y2 with its computed powder X-ray diffraction pattern. Radiation: CuKα. Structure: a structure optimized by DFT (PBE).
Lines closer than 0.1° are merged.

Largest 10 diffraction maxima, low angle first, 10° ≤ 2θ ≤ 90°:
- 2θ = 30.0°, 2.974 Å, I 28, (3 1 -1)
- 2θ = 31.0°, 2.884 Å, I 100, (2 0 3)
- 2θ = 31.5°, 2.841 Å, I 33, (4 0 -3)
- 2θ = 31.7°, 2.826 Å, I 33, (3 1 1)
- 2θ = 44.7°, 2.029 Å, I 10, (1 1 -4)
- 2θ = 45.9°, 1.978 Å, I 13, (7 1 -2)
- 2θ = 51.2°, 1.783 Å, I 9, (0 2 0)
- 2θ = 54.8°, 1.675 Å, I 11, (8 0 3)
- 2θ = 61.1°, 1.517 Å, I 21, (2 2 3)
- 2θ = 61.4°, 1.510 Å, I 10, (4 2 -3)

Crystal structure
Cell lengths 17.590, 3.567, 9.877 Å; angles 90.00, 99.88, 90.00 degrees
Space group C2/m (No. 12)
Unique sites:
Pm: 0.000 0.000 0.000
Pm: 0.158 0.000 0.541
Pm: 0.164 0.500 0.219
Sm: 0.177 0.500 0.879
Y: 0.003 0.500 0.670

---

2.
This entry pairs a crystal structure of CaAl2Si2O10 with its computed powder X-ray diffraction pattern. Radiation: CuKα. Structure: a structure optimized by DFT (PBE).
Lines closer than 0.1° are merged.

Largest 10 diffraction maxima, low angle first, 10° ≤ 2θ ≤ 90°:
- 2θ = 18.1°, 4.905 Å, I 33, (1 1 0)
- 2θ = 23.4°, 3.809 Å, I 39, (0 2 1)
- 2θ = 28.7°, 3.114 Å, I 25, (2 0 0)
- 2θ = 31.8°, 2.817 Å, I 34, (2 0 2)
- 2θ = 32.7°, 2.738 Å, I 100, (1 1 4)
- 2θ = 36.6°, 2.452 Å, I 57, (2 2 0)
- 2θ = 39.4°, 2.289 Å, I 44, (1 3 2)
- 2θ = 42.2°, 2.142 Å, I 33, (2 2 3)
- 2θ = 59.4°, 1.557 Å, I 28, (4 0 0)
- 2θ = 62.1°, 1.495 Å, I 51, (2 4 4)

Crystal structure
Cell lengths 6.228, 7.957, 13.204 Å; angles 90.00, 90.00, 90.00 degrees
Space group Cmcm (No. 63)
Unique sites:
Ca: 0.000 0.141 0.250
Al: 0.250 0.250 0.000
Si: 0.000 0.470 0.635
O: 0.000 0.078 0.528
O: 0.000 0.151 0.750
O: 0.000 0.363 0.059
O: 0.000 0.444 0.250
O: 0.215 0.358 0.621